1.
This entry pairs a crystal structure of CeP with its calculated X-ray diffraction stick pattern. Radiation: CuKα. Structure: the PBE geometry in the Materials Project.
Kinematic intensities with the Lorentz-polarization factor, no thermal factor.

abc: 3.503 3.503 3.503
angles: 90.00 90.00 90.00
Space group Pm-3m (No. 221)
Symmetry-distinct sites (fractional):
Ce 0.000 0.000 0.000 x1
P 0.500 0.500 0.500 x1

Main lines, in order of falling intensity (2θ from 10° to 90°):
h k l	2θ (°)	Rel. int.
1 1 0	36.26	100.0
1 0 0	25.42	50.4
2 1 1	65.23	35.2
2 1 0	58.95	20.5
2 0 0	52.22	17.3
3 1 0	88.19	16.1
1 1 1	44.81	15.3
2 2 0	76.98	11.0
3 0 0	82.62	9.7



2.
This entry pairs a crystal structure of CePPd with its calculated X-ray diffraction stick pattern. Radiation: CuKα. Structure: the PBE geometry in the Materials Project.
Kinematic intensities with the Lorentz-polarization factor, no thermal factor.

abc: 4.2113 4.2113 7.8634
angles: 90.00 90.00 120.00
Space group P6_3/mmc (No. 194)
Symmetry-distinct sites (fractional):
Ce 0.0000 0.0000 0.0000 x2
P 0.3333 0.6667 0.2500 x2
Pd 0.3333 0.6667 0.7500 x2

Main lines, in order of falling intensity (2θ from 10° to 90°):
h k l	2θ (°)	Rel. int.
1 0 2	33.51	100.0
1 1 0	42.95	44.1
1 1 4	64.89	25.4
2 0 2	55.55	23.2
2 1 2	72.69	20.6
1 0 1	26.95	18.0
1 0 0	24.41	12.1
0 0 4	46.18	11.9
1 0 6	77.37	8.7
3 0 0	78.71	7.3
1 0 3	42.47	5.5
1 0 4	52.91	3.1



3.
This entry pairs a crystal structure of CeP2Pt2 with its calculated X-ray diffraction stick pattern. Radiation: CuKα. Structure: the PBE geometry in the Materials Project.
Kinematic intensities with the Lorentz-polarization factor, no thermal factor.

abc: 4.300 4.300 19.263
angles: 90.00 90.00 90.00
Space group I4/mmm (No. 139)
Symmetry-distinct sites (fractional):
Ce 0.000 0.000 0.127 x4
P 0.000 0.000 0.430 x4
P 0.000 0.500 0.250 x4
Pt 0.000 0.000 0.307 x4
Pt 0.000 0.500 0.000 x4

Main lines, in order of falling intensity (2θ from 10° to 90°):
h k l	2θ (°)	Rel. int.
1 1 4	34.89	100.0
1 1 2	30.84	98.3
2 0 0	42.02	87.1
1 0 5	31.17	77.6
1 0 7	38.85	39.9
2 1 5	53.23	35.3
1 1 8	48.21	30.4
2 2 0	60.93	29.2
3 1 4	72.18	24.1
2 1 7	58.55	24.0
1 1 12	65.78	23.9
0 0 6	27.79	23.8



4.
This entry pairs a crystal structure of Ce2P3Rh3 with its calculated X-ray diffraction stick pattern. Radiation: CuKα. Structure: the PBE geometry in the Materials Project.
Kinematic intensities with the Lorentz-polarization factor, no thermal factor.

abc: 5.398 5.398 18.368
angles: 90.00 90.00 90.00
Space group P4/mmm (No. 123)
Symmetry-distinct sites (fractional):
Ce 0.000 0.000 0.241 x2
P 0.000 0.000 0.000 x1
P 0.000 0.000 0.378 x2
Rh 0.000 0.000 0.125 x2
Rh 0.000 0.000 0.500 x1

Main lines, in order of falling intensity (2θ from 10° to 90°):
h k l	2θ (°)	Rel. int.
1 0 0	16.42	100.0
1 1 0	23.31	43.2
2 1 0	37.25	24.8
2 0 0	33.20	17.1
1 0 8	42.80	15.2
2 1 8	55.21	14.2
1 1 8	46.14	12.2
1 0 3	21.95	10.8
3 1 0	53.70	8.5
2 0 8	52.32	8.4
3 1 8	68.50	7.4
0 0 3	14.47	6.9



5.
This entry pairs a crystal structure of CeP12Ru4 with its calculated X-ray diffraction stick pattern. Radiation: CuKα. Structure: the PBE geometry in the Materials Project.
Kinematic intensities with the Lorentz-polarization factor, no thermal factor.

abc: 8.091 8.091 8.091
angles: 90.00 90.00 90.00
Space group Im-3 (No. 204)
Symmetry-distinct sites (fractional):
Ce 0.000 0.000 0.000 x2
P 0.000 0.356 0.144 x24
Ru 0.250 0.250 0.250 x8

Main lines, in order of falling intensity (2θ from 10° to 90°):
h k l	2θ (°)	Rel. int.
2 2 0	31.27	100.0
4 2 2	55.65	56.0
3 0 1	35.07	45.7
3 1 2	41.77	31.9
4 2 0	50.44	29.5
4 3 1	58.14	22.3
6 0 2	74.12	21.7
2 0 0	21.97	21.1
1 1 0	15.49	16.5
4 0 0	44.81	15.4
4 4 4	82.62	11.2
2 2 2	38.55	9.6



6.
This entry pairs a crystal structure of CeP2Ru2 with its calculated X-ray diffraction stick pattern. Radiation: CuKα. Structure: the PBE geometry in the Materials Project.
Kinematic intensities with the Lorentz-polarization factor, no thermal factor.

abc: 4.076 4.076 9.788
angles: 90.00 90.00 90.00
Space group I4/mmm (No. 139)
Symmetry-distinct sites (fractional):
Ce 0.000 0.000 0.000 x2
P 0.000 0.000 0.373 x4
Ru 0.000 0.500 0.250 x4

Main lines, in order of falling intensity (2θ from 10° to 90°):
h k l	2θ (°)	Rel. int.
1 1 2	36.17	100.0
2 0 0	44.46	38.4
1 0 3	35.24	30.5
1 0 1	23.65	22.2
3 1 2	76.42	21.9
1 1 6	65.78	17.4
2 0 4	58.98	16.5
0 0 4	36.73	16.4
2 1 3	57.96	14.1
2 2 0	64.69	12.3
1 0 5	51.81	9.6
2 1 5	70.61	7.5



7.
This entry pairs a crystal structure of CePS4 with its calculated X-ray diffraction stick pattern. Radiation: CuKα. Structure: the PBE geometry in the Materials Project.
Kinematic intensities with the Lorentz-polarization factor, no thermal factor.

abc: 11.106 11.106 19.392
angles: 90.00 90.00 90.00
Space group I4_1/acd (No. 142, origin choice 2)
Symmetry-distinct sites (fractional):
Ce 0.000 0.250 0.125 x8
Ce 0.000 0.250 0.375 x8
P 0.036 0.000 0.250 x16
S 0.067 0.002 0.838 x32
S 0.094 0.116 0.002 x32

Main lines, in order of falling intensity (2θ from 10° to 90°):
h k l	2θ (°)	Rel. int.
2 0 0	15.96	100.0
2 2 4	29.26	65.7
2 0 4	24.37	62.8
4 2 4	40.82	55.2
4 0 4	37.32	46.1
4 2 0	36.17	37.1
2 0 8	40.61	23.4
4 0 0	32.23	20.8
0 0 8	37.10	20.2
6 2 4	55.67	19.5
4 2 8	52.78	17.7
2 2 0	22.61	16.0



8.
This entry pairs a crystal structure of CeTl2P2S7 with its calculated X-ray diffraction stick pattern. Radiation: CuKα. Structure: the PBE geometry in the Materials Project.
Kinematic intensities with the Lorentz-polarization factor, no thermal factor.

abc: 9.399 6.787 20.903
angles: 90.00 108.91 90.00
Space group P2_1/c (No. 14)
Symmetry-distinct sites (fractional):
Ce 0.162 0.024 0.348 x4
Tl 0.254 0.514 0.510 x4
Tl 0.322 0.009 0.686 x4
P 0.068 0.511 0.666 x4
P 0.467 0.007 0.547 x4
S 0.025 0.238 0.107 x4
S 0.049 0.747 0.602 x4
S 0.087 0.058 0.783 x4
S 0.242 0.021 0.511 x4
S 0.277 0.001 0.235 x4
S 0.426 0.744 0.901 x4
S 0.446 0.240 0.400 x4

Main lines, in order of falling intensity (2θ from 10° to 90°):
h k l	2θ (°)	Rel. int.
0 1 3	18.77	100.0
2 1 1	25.56	48.1
2 1 -3	24.08	45.2
0 2 0	26.26	43.6
2 0 -6	27.99	38.2
2 2 0	33.21	37.5
0 2 6	38.06	34.7
2 1 3	30.63	33.5
2 2 -2	32.65	29.1
2 0 4	31.11	29.0
4 0 -2	38.53	28.1
2 0 0	19.97	20.4



9.
This entry pairs a crystal structure of CeTlP2S7 with its calculated X-ray diffraction stick pattern. Radiation: CuKα. Structure: the PBE geometry in the Materials Project.
Kinematic intensities with the Lorentz-polarization factor, no thermal factor.

abc: 9.842 12.501 9.130
angles: 90.00 90.38 90.00
Space group P2_1/c (No. 14)
Symmetry-distinct sites (fractional):
Ce 0.144 0.143 0.391 x4
Tl 0.397 0.690 0.871 x4
P 0.189 0.538 0.198 x4
P 0.276 0.098 0.022 x4
S 0.024 0.059 0.680 x4
S 0.090 0.163 0.068 x4
S 0.149 0.693 0.146 x4
S 0.254 0.556 0.421 x4
S 0.339 0.022 0.570 x4
S 0.370 0.055 0.209 x4
S 0.374 0.204 0.890 x4

Main lines, in order of falling intensity (2θ from 10° to 90°):
h k l	2θ (°)	Rel. int.
2 1 0	19.41	100.0
2 2 1	25.05	50.0
1 1 -2	22.57	49.1
1 4 1	31.61	44.0
2 2 -2	30.22	36.1
4 0 0	36.55	33.6
1 3 -1	25.16	29.7
0 1 1	12.00	28.5
1 2 2	25.83	22.9
1 3 3	37.76	20.9
3 2 -1	32.29	17.9
0 3 1	23.47	17.8



10.
This entry pairs a crystal structure of CeTlP2Se6 with its calculated X-ray diffraction stick pattern. Radiation: CuKα. Structure: the PBE geometry in the Materials Project.
Kinematic intensities with the Lorentz-polarization factor, no thermal factor.

abc: 12.506 7.865 12.008
angles: 90.00 109.69 90.00
Space group P2_1/c (No. 14)
Symmetry-distinct sites (fractional):
Ce 0.151 0.104 0.405 x4
Tl 0.372 0.590 0.625 x4
P 0.178 0.597 0.246 x4
P 0.292 0.118 0.732 x4
Se 0.052 0.027 0.815 x4
Se 0.090 0.692 0.064 x4
Se 0.170 0.186 0.132 x4
Se 0.289 0.708 0.862 x4
Se 0.372 0.215 0.915 x4
Se 0.391 0.019 0.628 x4

Main lines, in order of falling intensity (2θ from 10° to 90°):
h k l	2θ (°)	Rel. int.
2 2 -2	28.86	100.0
4 1 -2	31.28	59.9
1 2 -1	24.32	47.5
4 0 -4	35.87	42.7
0 0 4	31.66	42.6
3 2 1	35.05	40.5
4 0 0	30.36	38.7
2 2 2	34.16	34.1
3 2 -3	35.27	33.0
0 1 2	19.34	24.4
1 1 1	16.88	24.0
2 1 -4	32.24	22.0